Entry 1:
For TbDy5Ho8, a cell relaxed with GGA-PBE gives the theoretical PXRD pattern in this record (Cu Ka).

Structure:
```
14
Lattice="-4.7350 4.7350 5.0176 4.7350 -4.7350 5.0176 4.7350 4.7350 -5.0176" Properties=species:S:1:pos:R:3 pbc="T T T"
Tb 0.0000 0.0000 0.0000
Dy 1.9967 3.6822 -1.7497
Dy 5.7878 1.9967 1.7497
Dy 2.7383 1.0528 3.2679
Dy 0.0000 4.7350 2.5088
Dy -1.0528 2.7383 6.7673
Ho 3.0902 0.8346 -0.0245
Ho 5.4043 3.0670 -1.5430
Ho 3.9004 -1.6448 5.0422
Ho -0.6693 1.6680 3.4746
Ho 3.0670 4.0657 1.5430
Ho 0.8346 6.3798 0.0245
Ho 1.6680 0.6693 6.5607
Ho 1.6448 3.9004 4.9931
```

Main lines, in order of rising 2θ (2θ = 5–70°):
d [Å], Rel. int.
3.154, 602
3.011, 680
2.995, 774
2.785, 227
2.625, 1000
2.572, 474
2.541, 539
1.460, 212

=====

Entry 2:
For Nd3Sm2Dy6Pu, a cell relaxed with GGA-PBE gives the theoretical PXRD pattern in this record (Cu Ka).

Structure:
```
12
Lattice="3.1052 -5.3827 0.0000 3.1052 5.3827 0.0000 -2.0760 0.0000 11.5901" Properties=species:S:1:pos:R:3 pbc="T T T"
Nd 0.0000 0.0000 0.0000
Nd 3.1052 1.7978 0.0000
Nd 3.1052 -1.7978 0.0000
Sm 2.0673 3.5893 5.7951
Sm 2.0673 -3.5893 5.7951
Dy 1.0481 1.7697 2.9419
Dy 0.0226 0.0000 8.6493
Dy 1.0481 -1.7697 2.9419
Dy 3.0864 1.7697 8.6482
Dy 4.1119 0.0000 2.9408
Dy 3.0864 -1.7697 8.6482
Pu 2.0673 0.0000 5.7951
```

Main lines, in order of rising 2θ (2θ = 5–70°):
d [Å], Rel. int.
2.925, 1000
2.898, 323
2.527, 669
1.794, 242
1.781, 235
1.529, 144
1.525, 284
1.517, 139

=====

Entry 3:
For BaHo2InO5, a cell relaxed with GGA-PBE gives the theoretical PXRD pattern in this record (Cu Ka).

Structure:
```
9
Lattice="-2.0240 2.9494 5.8392 2.0240 -2.9494 5.8392 2.0240 2.9494 -5.8392" Properties=species:S:1:pos:R:3 pbc="T T T"
Ba 0.0000 0.0000 0.0000
Ho 2.0240 0.0000 3.3143
Ho 0.0000 2.9494 2.5249
In 0.0000 0.0000 5.8392
O 2.0240 1.5564 -1.7805
O 2.0240 1.5564 1.7805
O 0.0000 2.9494 0.0000
O 0.0000 1.3930 4.0587
O 0.0000 1.3930 7.6197
```

Main lines, in order of rising 2θ (2θ = 5–70°):
d [Å], Rel. int.
2.949, 259
2.920, 169
2.898, 1000
2.075, 193
2.024, 199
1.693, 211
1.669, 172
1.449, 116

=====

Entry 4:
For Nd4CoBr5, a cell relaxed with GGA-PBE gives the theoretical PXRD pattern in this record (Cu Ka).

Structure:
```
10
Lattice="9.5634 -2.0212 0.0000 9.5634 2.0212 0.0000 -2.1189 0.0000 8.4392" Properties=species:S:1:pos:R:3 pbc="T T T"
Nd 18.6710 0.0000 1.7856
Nd -1.6630 0.0000 6.6536
Nd 4.7878 0.0000 7.7038
Nd 12.2201 0.0000 0.7354
Co 9.5634 0.0000 0.0000
Br 2.4510 0.0000 2.9220
Br 1.5266 0.0000 7.1136
Br 8.5040 0.0000 4.2196
Br 15.4814 0.0000 1.3256
Br 14.5569 0.0000 5.5172
```

Main lines, in order of rising 2θ (2θ = 5–70°):
d [Å], Rel. int.
9.276, 208
8.439, 486
3.092, 528
2.961, 1000
2.151, 330
2.127, 363
2.021, 179
1.692, 183

=====

Entry 5:
For Nd7PBr12, a cell relaxed with GGA-PBE gives the theoretical PXRD pattern in this record (Cu Ka).

Structure:
```
20
Lattice="7.6116 4.3946 3.4151 -7.6116 4.3946 3.4151 0.0000 -8.7891 3.4151" Properties=species:S:1:pos:R:3 pbc="T T T"
Nd 0.0000 0.0000 0.0000
Nd -1.6017 -1.5897 3.5778
Nd -0.5759 2.1820 3.5778
Nd 2.1776 -0.5923 3.5778
Nd -2.1776 0.5923 6.6675
Nd 0.5759 -2.1820 6.6675
Nd 1.6017 1.5897 6.6675
P 0.0000 0.0000 5.1226
Br -2.3526 0.6416 1.6612
Br 0.6207 -2.3582 1.6612
Br -4.1034 -1.0603 5.0906
Br -1.1334 -4.0838 5.1546
Br 1.7319 1.7166 1.6612
Br -2.9699 3.0235 5.1546
Br 2.9699 -3.0235 5.0906
Br -1.7319 -1.7166 8.5841
Br 1.1334 4.0838 5.0906
Br 4.1034 1.0603 5.1546
Br -0.6207 2.3582 8.5841
Br 2.3526 -0.6416 8.5841
```

Main lines, in order of rising 2θ (2θ = 5–70°):
d [Å], Rel. int.
7.612, 295
5.544, 99
3.116, 113
2.976, 1000
2.111, 363
2.098, 355
1.722, 183
1.488, 119

=====

Entry 6:
For ErNi4Ag, a cell relaxed with GGA-PBE gives the theoretical PXRD pattern in this record (Cu Ka).

Structure:
```
6
Lattice="0.0000 3.4822 3.4822 3.4822 0.0000 3.4822 3.4822 3.4822 0.0000" Properties=species:S:1:pos:R:3 pbc="T T T"
Er 0.0000 0.0000 0.0000
Ni 4.3497 2.6147 2.6147
Ni 2.6147 4.3497 2.6147
Ni 2.6147 2.6147 4.3497
Ni 4.3497 4.3497 4.3497
Ag 1.7411 1.7411 1.7411
```

Main lines, in order of rising 2θ (2θ = 5–70°):
d [Å], Rel. int.
4.021, 95
3.482, 26
2.462, 573
2.100, 1000
2.010, 189
1.598, 26
1.557, 11
1.422, 200

=====

Entry 7:
For Na6Bi2Sb, a cell relaxed with GGA-PBE gives the theoretical PXRD pattern in this record (Cu Ka).

Structure:
```
9
Lattice="9.0815 0.0000 0.0000 -4.5407 7.8648 0.0000 0.0000 0.0000 3.4957" Properties=species:S:1:pos:R:3 pbc="T T T"
Na -1.4980 2.5945 0.0000
Na -3.0428 5.2703 0.0000
Na 2.9959 0.0000 0.0000
Na 1.4980 2.5945 0.0000
Na 6.0856 0.0000 0.0000
Na 3.0428 5.2703 0.0000
Bi 0.0000 5.2432 1.7479
Bi 4.5407 2.6216 1.7479
Sb 0.0000 0.0000 1.7479
```

Main lines, in order of rising 2θ (2θ = 5–70°):
d [Å], Rel. int.
4.541, 965
2.770, 1000
2.622, 541
2.270, 166
2.097, 189
1.904, 339
1.541, 342
1.454, 174

=====

Entry 8:
For Ti2TlCl8, a cell relaxed with GGA-PBE gives the theoretical PXRD pattern in this record (Cu Ka).

Structure:
```
11
Lattice="8.0727 0.0000 0.0000 -4.0364 6.9912 0.0000 0.0000 0.0000 7.2083" Properties=species:S:1:pos:R:3 pbc="T T T"
Ti 0.0000 4.6608 1.3490
Ti 4.0364 2.3304 5.8593
Tl 0.0000 0.0000 0.0000
Cl 0.0000 2.5485 2.0798
Cl -1.8293 5.7169 2.0798
Cl 0.0000 4.6608 6.3467
Cl 2.2070 1.2742 5.1285
Cl 1.8293 5.7169 2.0798
Cl 4.0364 2.3304 0.8616
Cl 5.8657 1.2742 5.1285
Cl 4.0364 4.4427 5.1285
```

Main lines, in order of rising 2θ (2θ = 5–70°):
d [Å], Rel. int.
7.208, 520
6.991, 365
5.019, 858
4.036, 680
3.522, 1000
3.204, 412
3.145, 421
2.509, 470

=====

Entry 9:
For Be4Si2H2O9, a cell relaxed with GGA-PBE gives the theoretical PXRD pattern in this record (Cu Ka).

Structure:
```
34
Lattice="4.3928 -7.7097 0.0000 4.3928 7.7097 0.0000 0.0000 0.0000 4.6141" Properties=species:S:1:pos:R:3 pbc="T T T"
Be 2.8614 3.3922 0.0284
Be 1.5182 0.8102 0.0000
Be 1.5182 -0.8102 2.3070
Be 5.9243 3.3922 0.0284
Be 2.8614 -3.3922 2.3354
Be 7.2675 0.8102 0.0000
Be 7.2675 -0.8102 2.3070
Be 5.9243 -3.3922 2.3354
Si 2.8490 1.7649 2.3254
Si 2.8490 -1.7649 0.0184
Si 5.9367 1.7649 2.3254
Si 5.9367 -1.7649 0.0184
H 4.3928 5.6571 3.2271
H 4.3928 4.6233 0.9851
H 4.3928 -4.6233 3.2922
H 4.3928 -5.6571 0.9201
O 2.5570 3.2230 3.0360
O 4.3928 6.3573 2.5471
O 2.5286 1.9236 0.7225
O 1.8494 0.6519 3.0079
O 4.3928 3.9231 0.3021
O 1.8494 -0.6519 0.7008
O 2.5286 -1.9236 3.0295
O 4.3928 1.3206 2.5953
O 2.5570 -3.2230 0.7290
O 6.2287 3.2230 3.0360
O 4.3928 -1.3206 0.2883
O 6.2571 1.9236 0.7225
O 6.9363 0.6519 3.0079
O 4.3928 -3.9231 2.6091
O 6.9363 -0.6519 0.7008
O 6.2571 -1.9236 3.0295
O 4.3928 -6.3573 0.2401
O 6.2287 -3.2230 0.7290
```

Main lines, in order of rising 2θ (2θ = 5–70°):
d [Å], Rel. int.
4.436, 289
4.393, 898
3.957, 425
3.198, 1000
2.545, 481
2.307, 438
2.245, 249
2.228, 222

=====

Entry 10:
For AcLaAl2Si2, a cell relaxed with GGA-PBE gives the theoretical PXRD pattern in this record (Cu Ka).

Structure:
```
6
Lattice="4.2702 0.0000 0.0000 -2.1351 3.6981 0.0000 0.0000 0.0000 9.0820" Properties=species:S:1:pos:R:3 pbc="T T T"
Ac 0.0000 0.0000 0.0000
La 0.0000 0.0000 4.5410
Al 0.0000 2.4654 6.7417
Al 2.1351 1.2327 2.3402
Si 0.0000 2.4654 2.3802
Si 2.1351 1.2327 6.7018
```

Main lines, in order of rising 2θ (2θ = 5–70°):
d [Å], Rel. int.
4.541, 174
3.698, 501
2.868, 1000
2.135, 280
1.934, 297
1.713, 220
1.555, 203
1.401, 112

=====

Entry 11:
For TaV2Pt9, a cell relaxed with GGA-PBE gives the theoretical PXRD pattern in this record (Cu Ka).

Structure:
```
12
Lattice="4.8729 0.0000 0.0000 0.7541 6.1751 0.0000 0.7659 0.5972 6.1495" Properties=species:S:1:pos:R:3 pbc="T T T"
Ta 0.0000 0.0000 0.0000
V 2.3888 4.0798 5.5452
V 4.0040 2.6925 0.6043
Pt 0.8195 2.4486 4.1937
Pt 1.5499 1.7896 1.4493
Pt 2.3881 5.9900 3.6640
Pt 3.1374 5.1621 0.9567
Pt 3.1964 3.3862 3.0748
Pt 3.2555 1.6102 5.1928
Pt 4.0048 0.7823 2.4855
Pt 4.8430 4.9827 4.7002
Pt 5.5734 4.3237 1.9558
```

Main lines, in order of rising 2θ (2θ = 5–70°):
d [Å], Rel. int.
2.730, 84
2.287, 1000
2.275, 982
1.997, 342
1.965, 622
1.401, 414
1.395, 98
1.384, 95

=====

Entry 12:
For CuHgS2, a cell relaxed with GGA-PBE gives the theoretical PXRD pattern in this record (Cu Ka).

Structure:
```
4
Lattice="3.9273 0.0000 0.0000 0.0000 3.9273 0.0000 0.0000 0.0000 5.6705" Properties=species:S:1:pos:R:3 pbc="T T T"
Cu 0.0000 0.0000 0.0000
Hg 1.9637 1.9637 2.8352
S 0.0000 1.9637 1.1778
S 1.9637 0.0000 4.4927
```

Main lines, in order of rising 2θ (2θ = 5–70°):
d [Å], Rel. int.
3.927, 174
3.229, 1000
2.777, 180
2.494, 143
1.984, 349
1.964, 178
1.703, 153
1.678, 298